Calculated PXRD pattern
Compound: Th3ZnPd12
Radiation: λ = 1.5418 Å (Cu Kα)
Structure: a DFT-relaxed cell (GGA-PBE, Alexandria)
Neutral-atom scattering factors, no anomalous dispersion.

Most intense lines, 2θ = 5–70°, low angle first:
- hkl 1 0 0, 2θ 21.2, I 5
- hkl 1 0 4, 2θ 30.7, I 4
- hkl 1 1 3, 2θ 34.5, I 5
- hkl 1 1 4, 2θ 37.6, I 100
- hkl 2 0 0, 2θ 43.2, I 36
- hkl 0 0 8, 2θ 44.7, I 15
- hkl 2 2 0, 2θ 62.7, I 12
- hkl 2 0 8, 2θ 63.8, I 19

Structural model:
Lattice parameters (Å, degrees): 4.191 4.191 16.236 90.00 90.00 90.00
Space group P4/mmm (No. 123)
Unique sites:
Th  0.000  0.000  0.000 [1 per cell]
Th  0.000  0.000  0.265 [2 per cell]
Zn  0.000  0.000  0.500 [1 per cell]
Pd  0.000  0.500  0.129 [4 per cell]
Pd  0.000  0.500  0.387 [4 per cell]
Pd  0.500  0.500  0.000 [1 per cell]
Pd  0.500  0.500  0.257 [2 per cell]
Pd  0.500  0.500  0.500 [1 per cell]